Record 1
For SmDyY2As4, a cell relaxed with GGA-PBE gives the calculated powder diffraction line list in this record (Cu Kα).
No peak broadening, texture or thermal motion is included.

Structural model:
abc: 7.1788 4.1477 7.1798
angles: 90.00 109.47 90.00
Space group P2/m (No. 10)
Unique sites:
Sm 0.0000 0.0000 0.0000 (multiplicity 1)
Dy 0.0000 0.5000 0.5000 (multiplicity 1)
Y 0.5000 0.0000 0.5000 (multiplicity 1)
Y 0.5000 0.5000 0.0000 (multiplicity 1)
As 0.2514 0.0000 0.7478 (multiplicity 2)
As 0.2532 0.5000 0.2538 (multiplicity 2)

Principal peaks in the range 2θ = 10–90°, in order of rising 2θ:
Position (°2θ), I_rel, (hkl)
30.49, 100, 1 1 1
43.67, 74, 2 0 2
54.19, 26, 4 0 0
63.46, 12, 2 2 2
72.03, 33, 4 2 0
80.20, 25, 6 0 -2

---

Record 2
For Tb4PrEr10, a cell relaxed with GGA-PBE gives the calculated powder diffraction line list in this record (Cu Kα).
No peak broadening, texture or thermal motion is included.

Structural model:
abc: 9.7531 9.7531 10.7221
angles: 90.00 90.00 90.00
Space group I4/m (No. 87)
Unique sites:
Tb 0.0535 0.2895 0.0000 (multiplicity 8)
Pr 0.0000 0.0000 0.5000 (multiplicity 2)
Er 0.0000 0.5000 0.2500 (multiplicity 4)
Er 0.1220 0.2187 0.3304 (multiplicity 16)

Principal peaks in the range 2θ = 10–90°, in order of rising 2θ:
Position (°2θ), I_rel, (hkl)
26.56, 29, 1 0 3
28.95, 81, 3 1 0
32.39, 100, 2 1 3
33.52, 50, 3 1 2
41.40, 27, 2 4 0
41.88, 24, 2 3 3

---

Record 3
For ThGa9Rh2, a cell relaxed with GGA-PBE gives the calculated powder diffraction line list in this record (Cu Kα).
No peak broadening, texture or thermal motion is included.

Structural model:
abc: 12.9010 10.4453 7.6183
angles: 90.00 125.95 90.00
Space group C2/m (No. 12)
Unique sites:
Th 0.2503 0.0000 0.1240 (multiplicity 4)
Ga 0.0449 0.1203 0.2292 (multiplicity 8)
Ga 0.0447 0.3795 0.3612 (multiplicity 8)
Ga 0.1297 0.2051 0.6964 (multiplicity 8)
Ga 0.1297 0.2942 0.0642 (multiplicity 8)
Ga 0.2499 0.0000 0.6250 (multiplicity 4)
Rh 0.0000 0.0000 0.5000 (multiplicity 2)
Rh 0.0000 0.5000 0.0000 (multiplicity 2)
Rh 0.2500 0.2500 0.5000 (multiplicity 4)

Principal peaks in the range 2θ = 10–90°, in order of rising 2θ:
Position (°2θ), I_rel, (hkl)
22.33, 39, 2 2 -1
33.08, 67, 4 2 -1
35.97, 100, 1 1 2
36.41, 61, 3 1 -3
38.55, 82, 4 2 0
44.99, 35, 4 0 1

---

Record 4
For K4Sm3PtO8, a cell relaxed with GGA-PBE gives the calculated powder diffraction line list in this record (Cu Kα).
No peak broadening, texture or thermal motion is included.

Structural model:
abc: 12.4034 6.9095 7.4005
angles: 90.00 121.65 90.00
Space group C2/m (No. 12)
Unique sites:
K 0.0000 0.0000 0.0000 (multiplicity 2)
K 0.0000 0.5000 0.0000 (multiplicity 2)
K 0.2500 0.2500 0.0000 (multiplicity 4)
Sm 0.0000 0.0000 0.5000 (multiplicity 2)
Sm 0.2500 0.2500 0.5000 (multiplicity 4)
Pt 0.0000 0.5000 0.5000 (multiplicity 2)
O 0.0214 0.2724 0.3228 (multiplicity 8)
O 0.2236 0.0000 0.6889 (multiplicity 4)
O 0.2375 0.0000 0.2775 (multiplicity 4)

Principal peaks in the range 2θ = 10–90°, in order of rising 2θ:
Position (°2θ), I_rel, (hkl)
14.06, 100, 0 0 1
28.33, 36, 0 0 2
30.72, 27, 4 0 -2
30.93, 52, 2 2 0
33.96, 38, 4 0 0
35.61, 65, 2 2 -2

---

Record 5
For PrDyErTl, a cell relaxed with GGA-PBE gives the calculated powder diffraction line list in this record (Cu Kα).
No peak broadening, texture or thermal motion is included.

Structural model:
abc: 4.8405 4.9101 4.9540
angles: 90.00 90.00 90.00
Space group Pmmm (No. 47)
Unique sites:
Pr 0.0000 0.0000 0.0000 (multiplicity 1)
Dy 0.5000 0.5000 0.0000 (multiplicity 1)
Er 0.5000 0.0000 0.5000 (multiplicity 1)
Tl 0.0000 0.5000 0.5000 (multiplicity 1)

Principal peaks in the range 2θ = 10–90°, in order of rising 2θ:
Position (°2θ), I_rel, (hkl)
31.62, 100, 1 1 1
36.27, 17, 0 0 2
36.60, 17, 0 2 0
37.15, 16, 2 0 0
62.35, 15, 1 1 3
62.80, 14, 1 3 1

---

Record 6
For Er3Pd2Au, a cell relaxed with GGA-PBE gives the calculated powder diffraction line list in this record (Cu Kα).
No peak broadening, texture or thermal motion is included.

Structural model:
abc: 4.9610 4.9610 12.1617
angles: 90.00 90.00 120.00
Space group P-3m1 (No. 164)
Unique sites:
Er 0.0000 0.0000 0.2456 (multiplicity 2)
Er 0.3333 0.6667 0.4155 (multiplicity 2)
Er 0.3333 0.6667 0.9193 (multiplicity 2)
Pd 0.0000 0.0000 0.0000 (multiplicity 1)
Pd 0.0000 0.0000 0.5000 (multiplicity 1)
Pd 0.3333 0.6667 0.1624 (multiplicity 2)
Au 0.3333 0.6667 0.6651 (multiplicity 2)

Principal peaks in the range 2θ = 10–90°, in order of rising 2θ:
Position (°2θ), I_rel, (hkl)
21.94, 2, 1 0 1
36.20, 100, 1 1 0
52.13, 18, 0 2 4
65.12, 36, 3 0 0
76.84, 11, 2 2 0
88.02, 16, 1 3 4

---

Record 7
For ErTm3Th2As6, a cell relaxed with GGA-PBE gives the calculated powder diffraction line list in this record (Cu Kα).
No peak broadening, texture or thermal motion is included.

Structural model:
abc: 18.0008 4.1449 8.2505
angles: 90.00 103.07 90.00
Space group C2/m (No. 12)
Unique sites:
Er 0.0000 0.0000 0.0000 (multiplicity 2)
Tm 0.0000 0.0000 0.5000 (multiplicity 2)
Tm 0.1665 0.5000 0.8341 (multiplicity 4)
Th 0.1647 0.5000 0.3299 (multiplicity 4)
As 0.0031 0.5000 0.7508 (multiplicity 4)
As 0.1643 0.0000 0.5898 (multiplicity 4)
As 0.1665 0.0000 0.0744 (multiplicity 4)

Principal peaks in the range 2θ = 10–90°, in order of rising 2θ:
Position (°2θ), I_rel, (hkl)
26.38, 24, 3 1 0
30.58, 100, 6 0 0
43.72, 38, 0 2 0
43.86, 37, 7 1 -2
54.29, 20, 6 2 0
72.37, 17, 8 2 -4

---

Record 8
For Ti3Os2, a cell relaxed with GGA-PBE gives the calculated powder diffraction line list in this record (Cu Kα).
No peak broadening, texture or thermal motion is included.

Structural model:
abc: 3.0880 3.0880 15.9603
angles: 90.00 90.00 90.00
Space group P4/mmm (No. 123)
Unique sites:
Ti 0.0000 0.0000 0.0000 (multiplicity 1)
Ti 0.0000 0.0000 0.1943 (multiplicity 2)
Ti 0.0000 0.0000 0.3869 (multiplicity 2)
Ti 0.5000 0.5000 0.5000 (multiplicity 1)
Os 0.5000 0.5000 0.0971 (multiplicity 2)
Os 0.5000 0.5000 0.2923 (multiplicity 2)

Principal peaks in the range 2θ = 10–90°, in order of rising 2θ:
Position (°2θ), I_rel, (hkl)
27.95, 20, 0 0 5
28.91, 37, 1 0 0
40.65, 100, 1 0 5
41.35, 50, 1 1 0
50.65, 17, 1 1 5
74.92, 32, 2 1 5

---

Record 9
For Ac2Np2O7, a cell relaxed with GGA-PBE gives the calculated powder diffraction line list in this record (Cu Kα).
No peak broadening, texture or thermal motion is included.

Structural model:
abc: 11.3632 11.3632 11.3632
angles: 90.00 90.00 90.00
Space group Fd-3m (No. 227, origin choice 2)
Unique sites:
Ac 0.0000 0.0000 0.0000 (multiplicity 16)
Np 0.0000 0.0000 0.5000 (multiplicity 16)
O 0.0880 0.3750 0.8750 (multiplicity 48)
O 0.1250 0.1250 0.1250 (multiplicity 8)

Principal peaks in the range 2θ = 10–90°, in order of rising 2θ:
Position (°2θ), I_rel, (hkl)
27.19, 100, 2 2 2
31.49, 40, 4 0 0
45.14, 47, 4 4 0
53.49, 48, 6 2 2
72.52, 20, 6 6 2
74.72, 17, 8 4 0

---

Record 10
For Co2Pt3, a cell relaxed with GGA-PBE gives the calculated powder diffraction line list in this record (Cu Kα).
No peak broadening, texture or thermal motion is included.

Structural model:
abc: 2.7132 2.7132 18.9685
angles: 90.00 90.00 90.00
Space group I4/mmm (No. 139)
Unique sites:
Co 0.0000 0.0000 0.0983 (multiplicity 4)
Pt 0.0000 0.0000 0.3068 (multiplicity 4)
Pt 0.0000 0.0000 0.5000 (multiplicity 2)

Principal peaks in the range 2θ = 10–90°, in order of rising 2θ:
Position (°2θ), I_rel, (hkl)
33.36, 18, 1 0 1
40.89, 100, 1 0 5
47.39, 34, 1 1 0
47.96, 15, 0 0 10
69.71, 19, 1 1 10
83.68, 25, 2 1 5